# 1
The following is a theoretical X-ray powder pattern of Na5B7C3. It was derived from a GGA-PBE-relaxed structure, using Cu Kα (λ = 1.5418 Å).

The 12 most intense peaks (2θ from 10° to 90°), in order of falling intensity:
- 42.11°, I 100
- 40.96°, I 36
- 63.52°, I 12
- 36.25°, I 12
- 79.18°, I 12
- 76.97°, I 11
- 34.94°, I 8
- 80.73°, I 7
- 56.76°, I 7
- 81.51°, I 6
- 66.06°, I 6
- 77.62°, I 4

Cell and atoms:
Cell: 9.070 9.070 13.381 Å, 112.90 112.90 17.94°
Sites, in units of the cell vectors:
Na (0.000, 0.000, 0.000)
Na (0.000, 0.000, 0.499)
Na (0.200, 0.200, 0.402)
Na (0.201, 0.201, 0.900)
Na (0.400, 0.400, 0.798)
Na (0.402, 0.402, 0.301)
Na (0.599, 0.599, 0.204)
Na (0.601, 0.601, 0.699)
Na (0.799, 0.799, 0.600)
Na (0.802, 0.802, 0.101)
B (0.027, 0.027, 0.803)
B (0.036, 0.036, 0.322)
B (0.170, 0.170, 0.589)
B (0.179, 0.179, 0.107)
B (0.240, 0.240, 0.728)
B (0.364, 0.364, 0.478)
B (0.427, 0.427, 0.104)
B (0.571, 0.571, 0.889)
B (0.630, 0.630, 0.510)
B (0.635, 0.635, 0.019)
B (0.770, 0.770, 0.291)
B (0.834, 0.834, 0.917)
B (0.959, 0.959, 0.667)
B (0.967, 0.967, 0.185)
C (0.238, 0.238, 0.227)
C (0.365, 0.365, 0.979)
C (0.427, 0.427, 0.605)
C (0.567, 0.567, 0.385)
C (0.771, 0.771, 0.789)
C (0.833, 0.833, 0.416)

=====

# 2
The following is a theoretical X-ray powder pattern of Sr8Si2H. It was derived from a GGA-PBE-relaxed structure, using Cu Kα (λ = 1.5418 Å).

The 12 most intense peaks (2θ from 10° to 90°), in order of falling intensity:
- 27.08°, I 100
- 26.56°, I 68
- 30.60°, I 58
- 28.43°, I 51
- 27.79°, I 46
- 22.26°, I 32
- 40.62°, I 31
- 24.31°, I 27
- 49.19°, I 26
- 45.96°, I 24
- 26.27°, I 23
- 32.40°, I 22

Cell and atoms:
Cell: 9.969 9.969 9.982 Å, 93.95 93.95 25.75°
Sites, in units of the cell vectors:
Sr (0.006, 0.006, 0.195)
Sr (0.223, 0.223, 0.309)
Sr (0.349, 0.349, 0.016)
Sr (0.400, 0.400, 0.441)
Sr (0.600, 0.600, 0.559)
Sr (0.651, 0.651, 0.984)
Sr (0.777, 0.777, 0.691)
Sr (0.994, 0.994, 0.805)
Si (0.165, 0.165, 0.766)
Si (0.835, 0.835, 0.234)
H (0.500, 0.500, 0.000)

=====

# 3
The following is a theoretical X-ray powder pattern of Ac3TeAuN. It was derived from a GGA-PBE-relaxed structure, using Cu Kα (λ = 1.5418 Å).

The 12 most intense peaks (2θ from 10° to 90°), in order of falling intensity:
- 27.64°, I 100
- 27.00°, I 66
- 11.38°, I 47
- 27.41°, I 46
- 35.02°, I 44
- 42.73°, I 31
- 41.13°, I 28
- 49.89°, I 26
- 59.84°, I 19
- 30.74°, I 18
- 37.08°, I 16
- 35.97°, I 16

Cell and atoms:
Cell: 9.910 4.389 10.122 Å, 90.00 101.88 90.00°
Sites, in units of the cell vectors:
Ac (0.079, 0.250, 0.346)
Ac (0.340, 0.250, 0.986)
Ac (0.386, 0.750, 0.664)
Ac (0.614, 0.250, 0.336)
Ac (0.660, 0.750, 0.014)
Ac (0.921, 0.750, 0.654)
Te (0.330, 0.750, 0.281)
Te (0.670, 0.250, 0.719)
Au (0.148, 0.250, 0.657)
Au (0.852, 0.750, 0.343)
N (0.418, 0.750, 0.899)
N (0.582, 0.250, 0.101)

=====

# 4
The following is a theoretical X-ray powder pattern of Pm3Nd2Hg7. It was derived from a GGA-PBE-relaxed structure, using Cu Kα (λ = 1.5418 Å).

The 12 most intense peaks (2θ from 10° to 90°), in order of falling intensity:
- 35.45°, I 100
- 32.35°, I 40
- 34.10°, I 35
- 47.71°, I 28
- 30.08°, I 24
- 59.72°, I 22
- 61.92°, I 20
- 80.77°, I 10
- 25.29°, I 9
- 16.01°, I 9
- 31.41°, I 7
- 78.03°, I 7

Cell and atoms:
Cell: 12.145 12.145 5.535 Å, 90.00 90.00 155.00°
Sites, in units of the cell vectors:
Pm (0.000, 0.000, 0.000)
Pm (0.168, 0.832, 0.000)
Pm (0.832, 0.168, 0.000)
Nd (0.357, 0.643, 0.500)
Nd (0.643, 0.357, 0.500)
Hg (0.073, 0.927, 0.500)
Hg (0.224, 0.776, 0.500)
Hg (0.418, 0.582, 0.000)
Hg (0.500, 0.500, 0.500)
Hg (0.582, 0.418, 0.000)
Hg (0.776, 0.224, 0.500)
Hg (0.927, 0.073, 0.500)